For CaCo6O2F10, a structure optimized by DFT (GGA+U) gives the calculated X-ray diffraction stick pattern in this record (a wavelength of 1.5418 Å).
Lines closer than 0.1° are merged.

Atomic structure:
```
data_CaCo6O2F10
_chemical_formula_sum 'Ca1 Co6 O2 F10'
_symmetry_space_group_name_H-M 'P 1'
_symmetry_Int_Tables_number 1
_cell_length_a 5.0694
_cell_length_b 5.3940
_cell_length_c 9.2120
_cell_angle_alpha 87.85
_cell_angle_beta 88.14
_cell_angle_gamma 81.12
loop_
_symmetry_equiv_pos_as_xyz
'x,y,z'
loop_
_atom_site_label
_atom_site_fract_x
_atom_site_fract_y
_atom_site_fract_z
Ca1 0.0000 0.0000 0.0000
Co1 0.0027 0.5018 0.1922
Co2 0.0801 0.5621 0.5223
Co3 0.4706 0.0459 0.6741
Co4 0.5132 0.5208 0.0017
Co5 0.5545 0.0402 0.3577
Co6 0.9868 0.5164 0.8218
O1 0.2098 0.3489 0.6801
O2 0.8337 0.6520 0.0097
F1 0.2333 0.3317 0.3534
F2 0.2509 0.2925 0.0357
F3 0.3054 0.7445 0.1493
F4 0.3218 0.8155 0.8425
F5 0.3371 0.8497 0.5003
F6 0.6910 0.2072 0.5177
F7 0.7022 0.2643 0.8636
F8 0.7539 0.2124 0.1903
F9 0.8227 0.7721 0.6726
F10 0.8452 0.7293 0.3534
```

Principal peaks in the range 2θ from 10° to 90°, by intensity:
d_spacing, I/Imax
3.964, 100
3.703, 99
3.186, 85
3.397, 81
1.982, 72
2.274, 65
2.280, 61
1.699, 58
2.648, 55
3.581, 50